1.
Theoretical X-ray powder pattern of Rb2UPd3Se6 for Cu Kα, from a structure optimized by DFT (PBE).

Top 10 peaks for 2θ = 15–90°, in order of rising 2θ:
23.2°, rel. 100; 31.1°, rel. 53; 32.0°, rel. 70; 32.7°, rel. 40; 35.2°, rel. 78; 35.5°, rel. 36; 38.4°, rel. 40; 39.6°, rel. 32; 42.3°, rel. 99; 54.6°, rel. 44

Crystal structure
Cell lengths 11.7482, 10.1415, 9.3088 Å; angles 74.18, 56.15, 49.67 degrees
Fractional positions:
Rb 0.1930 0.8070 0.1930
Rb 0.2500 0.2500 0.2500
Rb 0.7500 0.7500 0.7500
Rb 0.8070 0.1930 0.8070
U 0.3318 0.3318 0.6682
U 0.6682 0.6682 0.3318
Pd 0.0049 0.6731 0.9951
Pd 0.3269 0.9951 0.6731
Pd 0.3319 0.6681 0.6681
Pd 0.6681 0.3319 0.3319
Pd 0.6731 0.0049 0.3269
Pd 0.9951 0.3269 0.0049
Se 0.0930 0.3121 0.6879
Se 0.1009 0.6953 0.6773
Se 0.3047 0.8991 0.4735
Se 0.3121 0.0930 0.9070
Se 0.3227 0.4735 0.8991
Se 0.4735 0.3227 0.3047
Se 0.5265 0.6773 0.6953
Se 0.6773 0.5265 0.1009
Se 0.6879 0.9070 0.0930
Se 0.6953 0.1009 0.5265
Se 0.8991 0.3047 0.3227
Se 0.9070 0.6879 0.3121

=====

2.
Theoretical X-ray powder pattern of Ca2TlCd for Cu Kα, from a structure optimized by DFT (PBE).

Top 10 peaks for 2θ = 15–90°, in order of rising 2θ:
22.6°, rel. 20; 23.1°, rel. 38; 32.6°, rel. 100; 32.9°, rel. 49; 40.3°, rel. 19; 46.2°, rel. 9; 47.2°, rel. 17; 57.9°, rel. 19; 58.6°, rel. 36; 68.2°, rel. 11

Crystal structure
Cell lengths 3.8475, 3.8475, 7.8599 Å; angles 90.00, 90.00, 90.00 degrees
Fractional positions:
Ca 0.0000 0.0000 0.2488
Ca 0.0000 0.0000 0.7512
Tl 0.5000 0.5000 0.5000
Cd 0.5000 0.5000 0.0000

=====

3.
Theoretical X-ray powder pattern of CsCrCl3 for Cu Kα, from a structure optimized by DFT (PBE).

Top 10 peaks for 2θ = 15–90°, in order of rising 2θ:
20.0°, rel. 54; 24.1°, rel. 53; 31.5°, rel. 100; 32.1°, rel. 19; 40.6°, rel. 33; 47.7°, rel. 20; 49.4°, rel. 25; 52.8°, rel. 20; 59.7°, rel. 18; 81.1°, rel. 21

Crystal structure
Cell lengths 7.3838, 7.3838, 6.1907 Å; angles 90.00, 90.00, 120.00 degrees
Fractional positions:
Cs 0.3333 0.6667 0.0000
Cs 0.6667 0.3333 0.5000
Cr 0.0000 0.0000 0.2657
Cr 0.0000 0.0000 0.7657
Cl 0.1545 0.3090 0.5152
Cl 0.1545 0.8455 0.5152
Cl 0.3090 0.1545 0.0152
Cl 0.6910 0.8455 0.5152
Cl 0.8455 0.1545 0.0152
Cl 0.8455 0.6910 0.0152

=====

4.
Theoretical X-ray powder pattern of HfSb for Cu Kα, from a structure optimized by DFT (PBE).

Top 10 peaks for 2θ = 15–90°, in order of rising 2θ:
25.9°, rel. 21; 31.6°, rel. 41; 34.3°, rel. 26; 35.0°, rel. 49; 35.6°, rel. 65; 36.0°, rel. 100; 36.2°, rel. 26; 38.4°, rel. 25; 39.4°, rel. 44; 48.3°, rel. 31

Crystal structure
Cell lengths 5.5637, 5.5637, 14.0667 Å; angles 90.00, 90.00, 140.40 degrees
Fractional positions:
Hf 0.0716 0.9284 0.6085
Hf 0.0716 0.9284 0.8915
Hf 0.3885 0.6115 0.7500
Hf 0.6115 0.3885 0.2500
Hf 0.9284 0.0716 0.1085
Hf 0.9284 0.0716 0.3915
Sb 0.3245 0.6755 0.2500
Sb 0.3576 0.6424 0.5496
Sb 0.3576 0.6424 0.9504
Sb 0.6424 0.3576 0.0496
Sb 0.6424 0.3576 0.4504
Sb 0.6755 0.3245 0.7500